Entry 1:
The following is a theoretical powder diffractogram of Mg2Ti. It was derived from the PBE geometry in the Materials Project, using Cu Kα (weighted mean of Kα1 and Kα2).
No peak broadening, texture or thermal motion is included.

Structural model:
```
data_Mg2Ti
_cell_length_a 5.0630
_cell_length_b 3.0095
_cell_length_c 16.2213
_cell_angle_alpha 90.00
_cell_angle_beta 90.00
_cell_angle_gamma 90.00
_space_group_name_H-M_alt 'A m m 2'
_space_group_IT_number 38
loop_
_space_group_symop_operation_xyz
'x,y,z'
'-x,-y,z'
'-x,y,z'
'x,-y,z'
'x,y+1/2,z+1/2'
'-x,-y+1/2,z+1/2'
'-x,y+1/2,z+1/2'
'x,-y+1/2,z+1/2'
loop_
_atom_site_label
_atom_site_fract_x
_atom_site_fract_y
_atom_site_fract_z
Mg1 0.0000 0.0000 0.0000
Mg2 0.0000 0.0000 0.3240
Mg3 0.0000 0.0000 0.6605
Mg4 0.5000 0.0000 0.8862
Ti1 0.5000 0.0000 0.2049
Ti2 0.5000 0.0000 0.5637
```

Principal peaks in the range 10° ≤ 2θ ≤ 90°, in order of rising 2θ:
(hkl), 2θ (°), d [Å], I_rel
0 0 2, 10.91, 8.111, 29
1 0 0, 17.52, 5.063, 14
0 1 3, 34.10, 2.630, 28
2 0 0, 35.46, 2.531, 44
1 0 6, 37.72, 2.385, 50
1 1 3, 38.58, 2.334, 100
2 1 3, 50.01, 1.824, 17
0 1 9, 59.82, 1.546, 15
3 1 3, 65.75, 1.420, 19
2 1 9, 71.50, 1.320, 15

=====

Entry 2:
The following is a theoretical powder diffractogram of Mg2Ti. It was derived from the PBE geometry in the Materials Project, using Cu Kα (weighted mean of Kα1 and Kα2).
No peak broadening, texture or thermal motion is included.

Structural model:
```
data_Mg2Ti
_cell_length_a 9.1771
_cell_length_b 5.4661
_cell_length_c 5.6072
_cell_angle_alpha 90.00
_cell_angle_beta 118.23
_cell_angle_gamma 90.00
_space_group_name_H-M_alt 'C 1 2/c 1'
_space_group_IT_number 15
loop_
_space_group_symop_operation_xyz
'x,y,z'
'-x,-y,-z'
'-x,y,-z+1/2'
'x,-y,z+1/2'
'x+1/2,y+1/2,z'
'-x+1/2,-y+1/2,-z'
'-x+1/2,y+1/2,-z+1/2'
'x+1/2,-y+1/2,z+1/2'
loop_
_atom_site_label
_atom_site_fract_x
_atom_site_fract_y
_atom_site_fract_z
Mg1 0.1663 0.0883 0.2477
Ti1 0.0000 0.4214 0.7500
```

Principal peaks in the range 10° ≤ 2θ ≤ 90°, in order of rising 2θ:
(hkl), 2θ (°), d [Å], I_rel
1 1 0, 19.60, 4.528, 30
0 2 0, 32.77, 2.733, 24
3 1 -1, 33.66, 2.663, 45
0 0 2, 36.37, 2.470, 71
3 1 0, 37.20, 2.417, 100
0 2 1, 37.61, 2.391, 97
3 1 -2, 39.58, 2.277, 83
3 3 -1, 59.06, 1.564, 31
3 1 2, 64.35, 1.448, 18
6 0 0, 69.80, 1.347, 27

=====

Entry 3:
The following is a theoretical powder diffractogram of Mg2Ti. It was derived from the PBE geometry in the Materials Project, using Cu Kα (weighted mean of Kα1 and Kα2).
No peak broadening, texture or thermal motion is included.

Structural model:
```
data_Mg2Ti
_cell_length_a 3.0004
_cell_length_b 16.1554
_cell_length_c 5.0838
_cell_angle_alpha 90.00
_cell_angle_beta 90.00
_cell_angle_gamma 90.00
_space_group_name_H-M_alt 'C m c m'
_space_group_IT_number 63
_space_group_name_Hall '-C 2c 2'
loop_
_atom_site_label
_atom_site_fract_x
_atom_site_fract_y
_atom_site_fract_z
Mg1 0.0000 0.0552 0.2500
Mg2 0.0000 0.2777 0.7500
Ti1 0.0000 0.3919 0.2500
```

Principal peaks in the range 10° ≤ 2θ ≤ 90°, in order of rising 2θ:
(hkl), 2θ (°), d [Å], I_rel
0 2 1, 20.64, 4.303, 17
0 6 0, 33.27, 2.693, 15
1 3 0, 34.21, 2.621, 21
0 0 2, 35.31, 2.542, 42
0 6 1, 37.81, 2.379, 48
1 3 1, 38.65, 2.330, 100
1 3 2, 49.98, 1.825, 13
1 9 0, 60.06, 1.540, 16
1 3 3, 65.60, 1.423, 19
1 9 2, 71.63, 1.317, 18

=====

Entry 4:
The following is a theoretical powder diffractogram of Mg3Ti. It was derived from the PBE geometry in the Materials Project, using Cu Kα (weighted mean of Kα1 and Kα2).
No peak broadening, texture or thermal motion is included.

Structural model:
```
data_Mg3Ti
_cell_length_a 6.9096
_cell_length_b 6.9096
_cell_length_c 6.9096
_cell_angle_alpha 90.00
_cell_angle_beta 90.00
_cell_angle_gamma 90.00
_space_group_name_H-M_alt 'F m -3 m'
_space_group_IT_number 225
_space_group_name_Hall '-F 4 2 3'
loop_
_atom_site_label
_atom_site_fract_x
_atom_site_fract_y
_atom_site_fract_z
Mg1 0.0000 0.0000 0.0000
Mg2 0.2500 0.2500 0.2500
Ti1 0.0000 0.0000 0.5000
```

Principal peaks in the range 10° ≤ 2θ ≤ 90°, in order of rising 2θ:
(hkl), 2θ (°), d [Å], I_rel
1 1 1, 22.29, 3.989, 8
2 0 0, 25.79, 3.455, 4
2 2 0, 36.79, 2.443, 100
3 1 1, 43.44, 2.083, 3
4 0 0, 53.01, 1.727, 16
3 3 1, 58.20, 1.585, 1
4 2 0, 59.86, 1.545, 1
4 2 2, 66.27, 1.410, 32
4 4 0, 78.27, 1.221, 9
6 2 0, 89.76, 1.092, 13

=====

Entry 5:
The following is a theoretical powder diffractogram of MgTi. It was derived from the PBE geometry in the Materials Project, using Cu Kα (weighted mean of Kα1 and Kα2).
No peak broadening, texture or thermal motion is included.

Structural model:
```
data_MgTi
_cell_length_a 2.9588
_cell_length_b 4.8930
_cell_length_c 10.7976
_cell_angle_alpha 90.00
_cell_angle_beta 90.00
_cell_angle_gamma 90.00
_space_group_name_H-M_alt 'P m m n'
_space_group_IT_number 59
loop_
_space_group_symop_operation_xyz
'x,y,z'
'-x,-y,-z'
'-x+1/2,-y+1/2,z'
'x+1/2,y+1/2,-z'
'x+1/2,-y,-z'
'-x+1/2,y,z'
'-x,y+1/2,-z'
'x,-y+1/2,z'
loop_
_atom_site_label
_atom_site_fract_x
_atom_site_fract_y
_atom_site_fract_z
Mg1 0.2500 0.2500 0.0560
Mg2 0.2500 0.7500 0.2143
Ti1 0.2500 0.2500 0.5355
Ti2 0.2500 0.7500 0.6827
```

Principal peaks in the range 10° ≤ 2θ ≤ 90°, in order of rising 2θ:
(hkl), 2θ (°), d [Å], I_rel
1 0 2, 34.57, 2.595, 37
0 2 0, 36.74, 2.446, 48
0 1 4, 38.07, 2.364, 67
1 1 2, 39.30, 2.292, 100
1 1 3, 43.71, 2.071, 15
1 2 2, 51.33, 1.780, 22
1 0 6, 60.19, 1.538, 14
1 3 2, 67.88, 1.381, 17
1 2 6, 72.63, 1.302, 19
2 1 4, 75.87, 1.254, 15

=====

Entry 6:
The following is a theoretical powder diffractogram of Mg2Ti. It was derived from the PBE geometry in the Materials Project, using Cu Kα (weighted mean of Kα1 and Kα2).
No peak broadening, texture or thermal motion is included.

Structural model:
```
data_Mg2Ti
_cell_length_a 11.6750
_cell_length_b 2.9570
_cell_length_c 7.4481
_cell_angle_alpha 90.00
_cell_angle_beta 105.24
_cell_angle_gamma 90.00
_space_group_name_H-M_alt 'C 1 m 1'
_space_group_IT_number 8
loop_
_space_group_symop_operation_xyz
'x,y,z'
'x,-y,z'
'x+1/2,y+1/2,z'
'x+1/2,-y+1/2,z'
loop_
_atom_site_label
_atom_site_fract_x
_atom_site_fract_y
_atom_site_fract_z
Mg1 0.0000 0.0000 0.0000
Mg2 0.0573 0.0000 0.6163
Mg3 0.1639 0.5000 0.3257
Mg4 0.3297 0.0000 0.6658
Ti1 0.2367 0.5000 0.9737
Ti2 0.3783 0.0000 0.2569
```

Principal peaks in the range 10° ≤ 2θ ≤ 90°, in order of rising 2θ:
(hkl), 2θ (°), d [Å], I_rel
0 0 1, 12.32, 7.186, 42
2 0 -1, 17.26, 5.137, 29
2 0 2, 32.90, 2.722, 23
1 1 1, 34.52, 2.598, 60
4 0 -2, 34.94, 2.568, 94
4 0 1, 37.23, 2.415, 58
0 0 3, 37.55, 2.395, 56
3 1 0, 38.76, 2.323, 100
1 1 -2, 38.92, 2.314, 98
3 1 3, 59.79, 1.547, 30

=====

Entry 7:
The following is a theoretical powder diffractogram of Mg14TiW. It was derived from the PBE geometry in the Materials Project, using Cu Kα (weighted mean of Kα1 and Kα2).
No peak broadening, texture or thermal motion is included.

Structural model:
```
data_Mg14TiW
_cell_length_a 6.2626
_cell_length_b 6.2626
_cell_length_c 9.9912
_cell_angle_alpha 90.00
_cell_angle_beta 90.00
_cell_angle_gamma 120.00
_space_group_name_H-M_alt 'P -6 m 2'
_space_group_IT_number 187
_space_group_name_Hall 'P -6 2'
loop_
_atom_site_label
_atom_site_fract_x
_atom_site_fract_y
_atom_site_fract_z
Mg1 0.0000 0.0000 0.2483
Mg2 0.0148 0.5074 0.2555
Mg3 0.3348 0.1674 0.5000
Mg4 0.3369 0.1685 0.0000
Ti1 0.3333 0.6667 0.0000
W1 0.3333 0.6667 0.5000
```

Principal peaks in the range 10° ≤ 2θ ≤ 90°, in order of rising 2θ:
(hkl), 2θ (°), d [Å], I_rel
1 0 0, 16.34, 5.424, 51
1 0 1, 18.62, 4.767, 38
1 0 2, 24.22, 3.674, 34
2 0 0, 33.03, 2.712, 30
0 0 4, 35.95, 2.498, 25
2 0 2, 37.75, 2.383, 100
2 0 4, 49.62, 1.837, 19
2 2 0, 59.00, 1.566, 17
2 0 6, 65.81, 1.419, 18
2 2 4, 71.06, 1.327, 19

=====

Entry 8:
The following is a theoretical powder diffractogram of Mg14TiW. It was derived from the PBE geometry in the Materials Project, using Cu Kα (weighted mean of Kα1 and Kα2).
No peak broadening, texture or thermal motion is included.

Structural model:
```
data_Mg14TiW
_cell_length_a 10.0440
_cell_length_b 6.0528
_cell_length_c 11.0940
_cell_angle_alpha 90.00
_cell_angle_beta 90.00
_cell_angle_gamma 90.00
_space_group_name_H-M_alt 'A m m 2'
_space_group_IT_number 38
loop_
_space_group_symop_operation_xyz
'x,y,z'
'-x,-y,z'
'-x,y,z'
'x,-y,z'
'x,y+1/2,z+1/2'
'-x,-y+1/2,z+1/2'
'-x,y+1/2,z+1/2'
'x,-y+1/2,z+1/2'
loop_
_atom_site_label
_atom_site_fract_x
_atom_site_fract_y
_atom_site_fract_z
Mg1 0.0000 0.0000 0.0000
Mg2 0.0000 0.0000 0.4985
Mg3 0.0000 0.2489 0.2506
Mg4 0.2524 0.0000 0.6594
Mg5 0.2609 0.0000 0.1576
Mg6 0.2621 0.2460 0.9174
Mg7 0.5000 0.2480 0.7520
Ti1 0.5000 0.0000 0.5026
W1 0.5000 0.0000 0.0044
```

Principal peaks in the range 10° ≤ 2θ ≤ 90°, in order of rising 2θ:
(hkl), 2θ (°), d [Å], I_rel
0 0 2, 15.98, 5.547, 30
0 1 1, 16.69, 5.313, 27
2 0 0, 17.66, 5.022, 22
1 0 2, 18.27, 4.856, 40
1 1 1, 18.89, 4.697, 41
0 2 2, 33.74, 2.657, 34
4 0 0, 35.76, 2.511, 40
2 0 4, 37.03, 2.428, 62
2 2 2, 38.33, 2.348, 100
4 2 2, 49.98, 1.825, 22

=====

Entry 9:
The following is a theoretical powder diffractogram of YMg6Ti. It was derived from the PBE geometry in the Materials Project, using Cu Kα (weighted mean of Kα1 and Kα2).
No peak broadening, texture or thermal motion is included.

Structural model:
```
data_YMg6Ti
_cell_length_a 5.1564
_cell_length_b 6.5107
_cell_length_c 11.2630
_cell_angle_alpha 90.00
_cell_angle_beta 90.00
_cell_angle_gamma 90.00
_space_group_name_H-M_alt 'A m m 2'
_space_group_IT_number 38
loop_
_space_group_symop_operation_xyz
'x,y,z'
'-x,-y,z'
'-x,y,z'
'x,-y,z'
'x,y+1/2,z+1/2'
'-x,-y+1/2,z+1/2'
'-x,y+1/2,z+1/2'
'x,-y+1/2,z+1/2'
loop_
_atom_site_label
_atom_site_fract_x
_atom_site_fract_y
_atom_site_fract_z
Y1 0.0000 0.0000 0.0000
Mg1 0.0000 0.2481 0.7483
Mg2 0.5000 0.0000 0.3388
Mg3 0.5000 0.0000 0.8279
Mg4 0.5000 0.2364 0.5780
Ti1 0.0000 0.0000 0.5046
```

Principal peaks in the range 10° ≤ 2θ ≤ 90°, in order of rising 2θ:
(hkl), 2θ (°), d [Å], I_rel
0 0 2, 15.73, 5.633, 23
1 0 2, 23.39, 3.804, 19
0 0 4, 31.76, 2.817, 30
2 0 0, 34.80, 2.578, 25
1 2 2, 36.34, 2.472, 100
2 0 4, 47.82, 1.902, 18
0 4 0, 56.58, 1.627, 17
3 2 2, 63.39, 1.467, 18
2 4 0, 68.16, 1.376, 18
1 0 8, 69.13, 1.359, 14

=====

Entry 10:
The following is a theoretical powder diffractogram of YMg6Ti. It was derived from the PBE geometry in the Materials Project, using Cu Kα (weighted mean of Kα1 and Kα2).
No peak broadening, texture or thermal motion is included.

Structural model:
```
data_YMg6Ti
_cell_length_a 5.1265
_cell_length_b 6.5268
_cell_length_c 11.3099
_cell_angle_alpha 90.00
_cell_angle_beta 90.00
_cell_angle_gamma 90.00
_space_group_name_H-M_alt 'A m m 2'
_space_group_IT_number 38
loop_
_space_group_symop_operation_xyz
'x,y,z'
'-x,-y,z'
'-x,y,z'
'x,-y,z'
'x,y+1/2,z+1/2'
'-x,-y+1/2,z+1/2'
'-x,y+1/2,z+1/2'
'x,-y+1/2,z+1/2'
loop_
_atom_site_label
_atom_site_fract_x
_atom_site_fract_y
_atom_site_fract_z
Y1 0.0000 0.0000 0.0000
Mg1 0.0000 0.0000 0.5070
Mg2 0.0000 0.2389 0.7544
Mg3 0.5000 0.0000 0.3362
Mg4 0.5000 0.2478 0.5889
Ti1 0.5000 0.0000 0.8366
```

Principal peaks in the range 10° ≤ 2θ ≤ 90°, in order of rising 2θ:
(hkl), 2θ (°), d [Å], I_rel
0 1 1, 15.67, 5.653, 34
1 0 2, 23.42, 3.798, 21
0 2 2, 31.65, 2.827, 26
2 0 0, 35.01, 2.563, 25
1 0 4, 36.29, 2.475, 100
2 2 2, 47.91, 1.899, 16
0 2 6, 56.37, 1.632, 17
3 0 4, 63.63, 1.462, 18
2 2 6, 68.11, 1.377, 19
1 4 4, 68.91, 1.363, 14

=====

Entry 11:
The following is a theoretical powder diffractogram of Mg14TiZn. It was derived from the PBE geometry in the Materials Project, using Cu Kα (weighted mean of Kα1 and Kα2).
No peak broadening, texture or thermal motion is included.

Structural model:
```
data_Mg14TiZn
_cell_length_a 6.3284
_cell_length_b 6.3284
_cell_length_c 10.0309
_cell_angle_alpha 90.00
_cell_angle_beta 90.00
_cell_angle_gamma 120.00
_space_group_name_H-M_alt 'P -6 m 2'
_space_group_IT_number 187
_space_group_name_Hall 'P -6 2'
loop_
_atom_site_label
_atom_site_fract_x
_atom_site_fract_y
_atom_site_fract_z
Mg1 0.0000 0.0000 0.2481
Mg2 0.0100 0.5050 0.2506
Mg3 0.3316 0.1658 0.5000
Mg4 0.3380 0.1690 0.0000
Ti1 0.3333 0.6667 0.0000
Zn1 0.3333 0.6667 0.5000
```

Principal peaks in the range 10° ≤ 2θ ≤ 90°, in order of rising 2θ:
(hkl), 2θ (°), d [Å], I_rel
1 0 0, 16.17, 5.481, 13
1 0 2, 24.05, 3.700, 7
2 0 0, 32.68, 2.740, 26
0 0 4, 35.81, 2.508, 25
2 0 2, 37.40, 2.405, 100
2 0 4, 49.25, 1.850, 15
2 2 0, 58.32, 1.582, 17
2 0 6, 65.39, 1.427, 18
2 2 4, 70.36, 1.338, 18
4 0 2, 71.36, 1.322, 13

=====

Entry 12:
The following is a theoretical powder diffractogram of Mg14TiZn. It was derived from the PBE geometry in the Materials Project, using Cu Kα (weighted mean of Kα1 and Kα2).
No peak broadening, texture or thermal motion is included.

Structural model:
```
data_Mg14TiZn
_cell_length_a 10.0780
_cell_length_b 6.2768
_cell_length_c 10.9630
_cell_angle_alpha 90.00
_cell_angle_beta 90.00
_cell_angle_gamma 90.00
_space_group_name_H-M_alt 'A m m 2'
_space_group_IT_number 38
loop_
_space_group_symop_operation_xyz
'x,y,z'
'-x,-y,z'
'-x,y,z'
'x,-y,z'
'x,y+1/2,z+1/2'
'-x,-y+1/2,z+1/2'
'-x,y+1/2,z+1/2'
'x,-y+1/2,z+1/2'
loop_
_atom_site_label
_atom_site_fract_x
_atom_site_fract_y
_atom_site_fract_z
Mg1 0.0000 0.0000 0.0000
Mg2 0.0000 0.0000 0.4994
Mg3 0.0000 0.2490 0.2509
Mg4 0.2525 0.0000 0.6638
Mg5 0.2566 0.0000 0.1646
Mg6 0.2587 0.2485 0.4191
Mg7 0.5000 0.2452 0.7513
Ti1 0.5000 0.0000 0.5029
Zn1 0.5000 0.0000 0.9965
```

Principal peaks in the range 10° ≤ 2θ ≤ 90°, in order of rising 2θ:
(hkl), 2θ (°), d [Å], I_rel
0 0 4, 32.67, 2.741, 13
0 2 2, 32.89, 2.724, 25
4 0 0, 35.63, 2.519, 38
2 0 4, 37.35, 2.408, 51
2 2 2, 37.54, 2.396, 100
4 2 2, 49.27, 1.849, 15
0 2 6, 58.45, 1.579, 17
6 2 2, 65.26, 1.430, 18
4 2 6, 70.36, 1.338, 18
2 4 4, 71.81, 1.315, 13

=====

Entry 13:
The following is a theoretical powder diffractogram of Mg3Tl. It was derived from the PBE geometry in the Materials Project, using Cu Kα (weighted mean of Kα1 and Kα2).
No peak broadening, texture or thermal motion is included.

Structural model:
```
data_Mg3Tl
_cell_length_a 4.5193
_cell_length_b 4.5193
_cell_length_c 4.5193
_cell_angle_alpha 90.00
_cell_angle_beta 90.00
_cell_angle_gamma 90.00
_space_group_name_H-M_alt 'P m -3 m'
_space_group_IT_number 221
_space_group_name_Hall '-P 4 2 3'
loop_
_atom_site_label
_atom_site_fract_x
_atom_site_fract_y
_atom_site_fract_z
Mg1 0.0000 0.0000 0.5000
Tl1 0.5000 0.5000 0.5000
```

Principal peaks in the range 10° ≤ 2θ ≤ 90°, in order of rising 2θ:
(hkl), 2θ (°), d [Å], I_rel
1 0 0, 19.64, 4.519, 100
1 1 0, 27.92, 3.196, 87
1 1 1, 34.37, 2.609, 87
2 0 0, 39.90, 2.260, 43
2 1 0, 44.85, 2.021, 50
2 1 1, 49.40, 1.845, 38
2 2 0, 57.70, 1.598, 29
3 0 0, 61.56, 1.506, 25
3 1 1, 68.91, 1.363, 34
3 2 1, 79.33, 1.208, 20

=====

Entry 14:
The following is a theoretical powder diffractogram of Mg3Tl. It was derived from the PBE geometry in the Materials Project, using Cu Kα (weighted mean of Kα1 and Kα2).
No peak broadening, texture or thermal motion is included.

Structural model:
```
data_Mg3Tl
_cell_length_a 6.4144
_cell_length_b 6.4144
_cell_length_c 5.2560
_cell_angle_alpha 90.00
_cell_angle_beta 90.00
_cell_angle_gamma 120.00
_space_group_name_H-M_alt 'P 63/m m c'
_space_group_IT_number 194
_space_group_name_Hall '-P 6c 2c'
loop_
_atom_site_label
_atom_site_fract_x
_atom_site_fract_y
_atom_site_fract_z
Mg1 0.1649 0.3299 0.2500
Tl1 0.3333 0.6667 0.7500
```

Principal peaks in the range 10° ≤ 2θ ≤ 90°, in order of rising 2θ:
(hkl), 2θ (°), d [Å], I_rel
1 0 0, 15.95, 5.555, 38
1 0 1, 23.30, 3.818, 100
1 1 0, 27.82, 3.207, 43
2 0 0, 32.23, 2.778, 19
0 0 2, 34.12, 2.628, 22
2 0 1, 36.59, 2.456, 81
1 1 2, 44.57, 2.033, 25
2 1 1, 46.58, 1.950, 32
2 0 3, 62.70, 1.482, 17
2 2 2, 68.55, 1.369, 17